No. 1
For Li4V5O9F, DFT lattice parameters and positions (GGA+U) gives the calculated PXRD pattern in this record (Cu Kα (λ = 1.5418 Å)).
Neutral-atom scattering factors, no anomalous dispersion.

Largest 6 diffraction maxima, sorted by position, 10 to 80 degrees two-theta:
2theta, I (rel.)
17.41, 100
34.90, 12
35.27, 16
41.39, 22
41.78, 21
42.84, 21

Structure:
a = 3.0117 Å, b = 5.3214 Å, c = 12.6177 Å
α = 97.07°, β = 96.51°, γ = 90.47°
Positions (direct):
Li (0.0000, 0.0000, 0.0000)
Li (0.1429, 0.3098, 0.2551)
Li (0.4008, 0.7549, 0.7993)
Li (0.8074, 0.5051, 0.6028)
V (0.1056, 0.7144, 0.1768)
V (0.2976, 0.0292, 0.6010)
V (0.4907, 0.4807, 0.9877)
V (0.6814, 0.8639, 0.3818)
V (0.8949, 0.2498, 0.7945)
O (0.0349, 0.3780, 0.0819)
O (0.1606, 0.9939, 0.3030)
O (0.3494, 0.3700, 0.6969)
O (0.4385, 0.1326, 0.8871)
O (0.5463, 0.8258, 0.0845)
O (0.6551, 0.5653, 0.2712)
O (0.7567, 0.1287, 0.5110)
O (0.8393, 0.8995, 0.6917)
O (0.9465, 0.5901, 0.8905)
F (0.2267, 0.6954, 0.4842)


No. 2
For TaZn2WO6, DFT lattice parameters and positions (GGA+U) gives the calculated PXRD pattern in this record (Cu Kα (λ = 1.5418 Å)).
Neutral-atom scattering factors, no anomalous dispersion.

Largest 6 diffraction maxima, sorted by position, 10 to 80 degrees two-theta:
2theta, I (rel.)
22.63, 20
22.88, 18
23.67, 18
32.40, 70
33.01, 100
33.26, 33

Structure:
a = 5.3906 Å, b = 7.8579 Å, c = 5.4226 Å
α = 90.00°, β = 91.92°, γ = 90.00°
Positions (direct):
Ta (0.0000, 0.0000, 0.0000)
Ta (0.0000, 0.5000, 0.0000)
Zn (0.0271, 0.2500, 0.5062)
Zn (0.4838, 0.7500, 0.0220)
Zn (0.5162, 0.2500, 0.9780)
Zn (0.9729, 0.7500, 0.4938)
W (0.5000, 0.0000, 0.5000)
W (0.5000, 0.5000, 0.5000)
O (0.0799, 0.7500, 0.1212)
O (0.1606, 0.5658, 0.6876)
O (0.1606, 0.9342, 0.6876)
O (0.3205, 0.0685, 0.1517)
O (0.3205, 0.4315, 0.1517)
O (0.3926, 0.2500, 0.6228)
O (0.6074, 0.7500, 0.3772)
O (0.6795, 0.5685, 0.8483)
O (0.6795, 0.9315, 0.8483)
O (0.8394, 0.0658, 0.3124)
O (0.8394, 0.4342, 0.3124)
O (0.9201, 0.2500, 0.8788)